Entry 1:
Structure and calculated powder diffraction line list of Bi5P3O12F (a structure optimized by DFT (GGA-PBE); Cu Ka).
No peak broadening, texture or thermal motion is included.

Main lines, sorted by position (2θ = 10–80°):
2θ = 19.85°, I 52, (2 0 0); 2θ = 21.22°, I 71, (1 1 1); 2θ = 26.36°, I 33, (1 2 0); 2θ = 29.22°, I 85, (1 2 1); 2θ = 29.97°, I 100, (3 0 0); 2θ = 30.39°, I 100, (1 1 2); 2θ = 43.21°, I 31, (2 2 2); 2θ = 44.44°, I 35, (3 1 2); 2θ = 46.01°, I 31, (2 3 1); 2θ = 46.58°, I 42, (2 1 3)

Atomic structure:
a b c (Å): 10.3277 10.3277 7.1553
angles (deg): 90.00 90.00 120.00
Space group P6_3 (No. 173)
Asymmetric unit:
1 Bi 0.0258 0.7369 0.0000 (multiplicity 6)
2 Bi 0.3333 0.6667 0.2141 (multiplicity 2)
3 Bi 0.3333 0.6667 0.8172 (multiplicity 2)
4 P 0.0510 0.6634 0.5108 (multiplicity 6)
5 O 0.0864 0.5343 0.5199 (multiplicity 6)
6 O 0.1146 0.7687 0.6864 (multiplicity 6)
7 O 0.1192 0.4010 0.0037 (multiplicity 6)
8 O 0.1269 0.7679 0.3377 (multiplicity 6)
9 F 0.0000 0.0000 0.4687 (multiplicity 2)

=====

Entry 2:
Structure and calculated powder diffraction line list of ZnBi6P2O14F2 (a structure optimized by DFT (GGA-PBE); Cu Ka).
No peak broadening, texture or thermal motion is included.

Main lines, sorted by position (2θ = 10–80°):
2θ = 11.06°, I 88, (0 0 2); 2θ = 24.71°, I 24, (3 1 1); 2θ = 24.87°, I 25, (3 1 -3); 2θ = 27.68°, I 100, (3 1 2); 2θ = 27.91°, I 97, (3 1 -4); 2θ = 31.40°, I 30, (0 2 0); 2θ = 31.57°, I 30, (6 0 -2); 2θ = 31.89°, I 38, (0 2 1); 2θ = 33.63°, I 38, (0 0 6); 2θ = 52.02°, I 25, (3 3 1)

Atomic structure:
a b c (Å): 17.005 5.702 16.905
angles (deg): 90.00 108.93 90.00
Space group C2/c (No. 15)
Asymmetric unit:
1 Zn 0.000 0.000 0.000 (multiplicity 4)
2 Bi 0.064 0.391 0.170 (multiplicity 8)
3 Bi 0.103 0.076 0.825 (multiplicity 8)
4 Bi 0.205 0.065 0.671 (multiplicity 8)
5 P 0.127 0.484 0.491 (multiplicity 8)
6 O 0.000 0.184 0.250 (multiplicity 4)
7 O 0.000 0.299 0.750 (multiplicity 4)
8 O 0.069 0.037 0.112 (multiplicity 8)
9 O 0.074 0.302 0.955 (multiplicity 8)
10 O 0.088 0.255 0.449 (multiplicity 8)
11 O 0.162 0.474 0.587 (multiplicity 8)
12 O 0.168 0.190 0.259 (multiplicity 8)
13 O 0.171 0.302 0.757 (multiplicity 8)
14 F 0.209 0.482 0.963 (multiplicity 8)